Record 1
Calculated powder X-ray diffraction pattern of TbAl2GaCu2 for a wavelength of 1.5418 Å, from a cell relaxed with PBE.
Lines closer than 0.1° are merged.

Structural model:
Cell lengths 4.472, 4.472, 5.571 Å; angles 90.00, 90.00, 90.00 degrees
Fractional coordinates of all 6 atoms:
Tb (0.000, 0.000, 0.000)
Al (0.500, 0.500, 0.236)
Al (0.500, 0.500, 0.764)
Ga (0.000, 0.000, 0.500)
Cu (0.000, 0.500, 0.500)
Cu (0.500, 0.000, 0.500)

The 6 most intense peaks (2θ = 5–70°), sorted by position:
2θ (°)  I_rel
19.9  98
32.1  49
32.6  98
38.1  100
40.3  94
56.7  62

Record 2
Calculated powder X-ray diffraction pattern of Tl17ZnCd11 for a wavelength of 1.5418 Å, from a cell relaxed with PBE.
Lines closer than 0.1° are merged.

Structural model:
Cell lengths 10.161, 10.161, 10.114 Å; angles 109.41, 109.41, 109.68 degrees
Fractional coordinates of all 29 atoms:
Tl (0.000, 0.000, 0.000)
Tl (0.003, 0.397, 0.682)
Tl (0.006, 0.006, 0.647)
Tl (0.293, 0.608, 0.609)
Tl (0.319, 0.715, 0.321)
Tl (0.332, 0.332, 0.721)
Tl (0.352, 0.352, 0.354)
Tl (0.396, 0.685, 0.003)
Tl (0.397, 0.003, 0.682)
Tl (0.607, 0.607, 0.288)
Tl (0.608, 0.293, 0.609)
Tl (0.646, 0.999, 0.999)
Tl (0.681, 0.999, 0.399)
Tl (0.685, 0.396, 0.003)
Tl (0.715, 0.319, 0.321)
Tl (0.999, 0.646, 0.999)
Tl (0.999, 0.681, 0.399)
Zn (0.638, 0.638, 0.812)
Cd (0.002, 0.365, 0.190)
Cd (0.178, 0.996, 0.364)
Cd (0.181, 0.817, 0.816)
Cd (0.187, 0.366, 0.002)
Cd (0.365, 0.002, 0.190)
Cd (0.366, 0.187, 0.002)
Cd (0.638, 0.821, 0.642)
Cd (0.801, 0.801, 0.155)
Cd (0.817, 0.181, 0.816)
Cd (0.821, 0.638, 0.642)
Cd (0.996, 0.178, 0.364)

The 6 most intense peaks (2θ = 5–70°), sorted by position:
2θ (°)  I_rel
32.4  68
32.5  100
35.9  12
36.0  11
57.8  16
57.9  19

Record 3
Calculated powder X-ray diffraction pattern of Mn2ReRh for a wavelength of 1.5418 Å, from a cell relaxed with PBE.
Lines closer than 0.1° are merged.

Structural model:
Cell lengths 2.938, 4.472, 8.454 Å; angles 90.00, 90.00, 90.00 degrees
Fractional coordinates of all 8 atoms:
Mn (0.000, 0.000, 0.245)
Mn (0.000, 0.000, 0.755)
Mn (0.500, 0.500, 0.255)
Mn (0.500, 0.500, 0.745)
Re (0.000, 0.500, 0.500)
Re (0.500, 0.000, 0.000)
Rh (0.000, 0.500, 0.000)
Rh (0.500, 0.000, 0.500)

The 6 most intense peaks (2θ = 5–70°), sorted by position:
2θ (°)  I_rel
21.0  30
36.6  15
40.3  29
42.6  100
42.8  25
60.2  17

Record 4
Calculated powder X-ray diffraction pattern of Cs3RuCl8 for a wavelength of 1.5418 Å, from a cell relaxed with PBE.
Lines closer than 0.1° are merged.

Structural model:
Cell lengths 10.284, 10.284, 9.270 Å; angles 90.00, 90.00, 120.00 degrees
Fractional coordinates of all 24 atoms:
Cs (0.155, 0.309, 0.000)
Cs (0.155, 0.845, 0.000)
Cs (0.309, 0.155, 0.500)
Cs (0.691, 0.845, 0.000)
Cs (0.845, 0.155, 0.500)
Cs (0.845, 0.691, 0.500)
Ru (0.333, 0.667, 0.441)
Ru (0.667, 0.333, 0.941)
Cl (0.000, 0.000, 0.254)
Cl (0.000, 0.000, 0.754)
Cl (0.119, 0.559, 0.296)
Cl (0.227, 0.454, 0.587)
Cl (0.227, 0.773, 0.587)
Cl (0.333, 0.667, 0.907)
Cl (0.441, 0.559, 0.296)
Cl (0.441, 0.881, 0.296)
Cl (0.454, 0.227, 0.087)
Cl (0.546, 0.773, 0.587)
Cl (0.559, 0.119, 0.796)
Cl (0.559, 0.441, 0.796)
Cl (0.667, 0.333, 0.407)
Cl (0.773, 0.227, 0.087)
Cl (0.773, 0.546, 0.087)
Cl (0.881, 0.441, 0.796)

The 6 most intense peaks (2θ = 5–70°), sorted by position:
2θ (°)  I_rel
19.1  30
22.1  100
27.8  51
34.9  33
35.4  33
40.1  31